Starting from a crystal structure in Alexandria, relaxed with GGA+U, the PXRD pattern of LiCo3OF5 was computed for Cu Kα.
Neutral-atom scattering factors, no anomalous dispersion.

Structural model:
```
data_LiCo3OF5
_chemical_formula_sum 'Li2 Co6 O2 F10'
_symmetry_space_group_name_H-M 'P 1'
_symmetry_Int_Tables_number 1
_cell_length_a 6.0550
_cell_length_b 6.1437
_cell_length_c 6.1566
_cell_angle_alpha 92.45
_cell_angle_beta 91.78
_cell_angle_gamma 92.33
loop_
_symmetry_equiv_pos_as_xyz
'x,y,z'
loop_
_atom_site_label
_atom_site_fract_x
_atom_site_fract_y
_atom_site_fract_z
_atom_site_occupancy
Li1 0.0000 0.0000 0.0000 1
Li2 0.4840 0.4871 0.4911 1
Co1 0.0481 0.7497 0.6035 1
Co2 0.2402 0.4533 0.9387 1
Co3 0.4196 0.9564 0.2605 1
Co4 0.5592 0.0777 0.7374 1
Co5 0.7682 0.6020 0.0601 1
Co6 0.9024 0.2392 0.4197 1
O1 0.0369 0.6829 0.9072 1
O2 0.5812 0.1781 0.4388 1
F1 0.0862 0.9553 0.3256 1
F2 0.1663 0.4071 0.5737 1
F3 0.3101 0.1212 0.9629 1
F4 0.3942 0.8010 0.5948 1
F5 0.4229 0.6104 0.1961 1
F6 0.5699 0.4333 0.8270 1
F7 0.6705 0.9213 0.0315 1
F8 0.8085 0.5935 0.4044 1
F9 0.9046 0.0519 0.7016 1
F10 0.9499 0.3101 0.1059 1
```

The 8 most intense peaks (10 to 80 degrees two-theta), low angle first:
2theta, d_spacing, Rel. int., (hkl)
20.22, 4.393, 38, 1 -1 0
26.25, 3.395, 100, 1 1 1
32.00, 2.797, 63, 0 1 -2
32.18, 2.782, 63, 1 -2 0
32.57, 2.749, 53, 2 0 -1
33.17, 2.701, 33, 0 2 1
35.76, 2.511, 23, -1 1 2
47.49, 1.914, 23, 0 3 1